[1]
For ZnH6C2N4O4, the PBE geometry in the Materials Project gives the calculated X-ray powder pattern in this record (Cu Kα (λ = 1.5418 Å)).
Kinematic intensities with the Lorentz-polarization factor, no thermal factor.

The 10 most intense peaks (10 to 80 degrees two-theta), sorted by position:
(1 0 0), 2θ 13.78, rel. 63; (1 0 -2), 2θ 19.91, rel. 48; (1 1 -1), 2θ 21.92, rel. 100; (2 0 -2), 2θ 27.57, rel. 33; (2 1 -1), 2θ 30.94, rel. 14; (2 1 -2), 2θ 32.59, rel. 21; (0 1 3), 2θ 35.61, rel. 16; (2 1 -3), 2θ 37.28, rel. 13; (2 1 1), 2θ 37.57, rel. 14; (4 0 -2), 2θ 52.67, rel. 12

a b c (Å): 6.9508 5.2037 9.3501
angles (deg): 90.00 112.37 90.00
Space group Pc (No. 7)
Symmetry-distinct sites (fractional):
Zn: 0.0000 0.2041 0.0000 (multiplicity 2)
H: 0.2365 0.1776 0.6594 (multiplicity 2)
H: 0.3553 0.0352 0.5549 (multiplicity 2)
H: 0.5029 0.0584 0.3443 (multiplicity 2)
H: 0.6324 0.4175 0.5940 (multiplicity 2)
H: 0.7227 0.4336 0.3568 (multiplicity 2)
H: 0.9267 0.3928 0.3066 (multiplicity 2)
C: 0.3148 0.3799 0.2792 (multiplicity 2)
C: 0.8315 0.1061 0.6760 (multiplicity 2)
N: 0.2733 0.0022 0.6238 (multiplicity 2)
N: 0.3936 0.1486 0.2516 (multiplicity 2)
N: 0.7316 0.3255 0.6922 (multiplicity 2)
N: 0.8327 0.4712 0.8283 (multiplicity 2)
O: 0.1472 0.4681 0.1717 (multiplicity 2)
O: 0.4158 0.4958 0.4035 (multiplicity 2)
O: 0.7725 0.0072 0.5392 (multiplicity 2)
O: 0.9727 0.0088 0.7948 (multiplicity 2)



[2]
For SmCO4, the PBE geometry in the Materials Project gives the calculated X-ray powder pattern in this record (Cu Kα (λ = 1.5418 Å)).
Kinematic intensities with the Lorentz-polarization factor, no thermal factor.

The 10 most intense peaks (10 to 80 degrees two-theta), sorted by position:
(1 0 1), 2θ 16.13, rel. 44; (0 1 1), 2θ 20.85, rel. 100; (0 0 2), 2θ 21.08, rel. 29; (1 1 1), 2θ 24.23, rel. 50; (1 0 2), 2θ 24.43, rel. 36; (2 0 1), 2θ 26.78, rel. 49; (2 1 0), 2θ 30.61, rel. 64; (1 1 3), 2θ 38.92, rel. 47; (1 2 2), 2θ 44.32, rel. 42; (2 2 1), 2θ 45.76, rel. 44

a b c (Å): 7.2459 4.9379 8.4299
angles (deg): 90.00 90.00 90.00
Space group Pnma (No. 62)
Symmetry-distinct sites (fractional):
Sm: 0.1425 0.2500 0.1655 (multiplicity 4)
C: 0.1991 0.2500 0.8220 (multiplicity 4)
O: 0.0385 0.7500 0.6033 (multiplicity 4)
O: 0.1530 0.0225 0.8890 (multiplicity 8)
O: 0.2036 0.7500 0.1952 (multiplicity 4)



[3]
For Mo2C, the PBE geometry in the Materials Project gives the calculated X-ray powder pattern in this record (Cu Kα (λ = 1.5418 Å)).
Kinematic intensities with the Lorentz-polarization factor, no thermal factor.

The 10 most intense peaks (10 to 80 degrees two-theta), sorted by position:
(0 0 1), 2θ 16.16, rel. 1; (0 0 2), 2θ 32.65, rel. 41; (1 0 0), 2θ 35.95, rel. 100; (1 0 1), 2θ 39.64, rel. 1; (1 0 2), 2θ 49.34, rel. 86; (1 1 0), 2θ 64.61, rel. 20; (0 0 4), 2θ 68.42, rel. 5; (1 1 2), 2θ 74.29, rel. 22; (2 0 0), 2θ 76.21, rel. 11; (1 0 4), 2θ 79.78, rel. 19

a b c (Å): 2.8849 2.8849 5.4851
angles (deg): 90.00 90.00 120.00
Space group P-6m2 (No. 187)
Symmetry-distinct sites (fractional):
Mo: 0.0000 0.0000 0.2465 (multiplicity 2)
C: 0.6667 0.3333 0.5000 (multiplicity 1)



[4]
For TaRe, the PBE geometry in the Materials Project gives the calculated X-ray powder pattern in this record (Cu Kα (λ = 1.5418 Å)).
Kinematic intensities with the Lorentz-polarization factor, no thermal factor.

The 9 most intense peaks (10 to 80 degrees two-theta), sorted by position:
(0 2 0), 2θ 39.13, rel. 26; (1 1 1), 2θ 39.81, rel. 100; (0 0 2), 2θ 40.38, rel. 24; (0 2 2), 2θ 57.48, rel. 17; (2 0 0), 2θ 57.63, rel. 9; (1 3 1), 2θ 71.35, rel. 18; (2 2 0), 2θ 71.87, rel. 9; (2 0 2), 2θ 72.71, rel. 9; (1 1 3), 2θ 73.03, rel. 17

a b c (Å): 3.1988 4.6047 4.4677
angles (deg): 90.00 90.00 90.00
Space group Cmmm (No. 65)
Symmetry-distinct sites (fractional):
Ta: 0.0000 0.0000 0.0000 (multiplicity 2)
Re: 0.0000 0.5000 0.5000 (multiplicity 2)



[5]
For SnHg2S2Br2, the PBE geometry in the Materials Project gives the calculated X-ray powder pattern in this record (Cu Kα (λ = 1.5418 Å)).
Kinematic intensities with the Lorentz-polarization factor, no thermal factor.

The 10 most intense peaks (10 to 80 degrees two-theta), sorted by position:
(1 0 -2), 2θ 13.01, rel. 31; (1 1 0), 2θ 13.33, rel. 81; (1 1 1), 2θ 16.19, rel. 100; (1 1 -2), 2θ 16.31, rel. 43; (2 1 -3), 2θ 23.69, rel. 55; (1 2 -3), 2θ 27.11, rel. 43; (2 2 1), 2θ 29.16, rel. 40; (1 0 4), 2θ 30.77, rel. 27; (1 3 -1), 2θ 31.08, rel. 32; (3 1 -5), 2θ 36.24, rel. 51

a b c (Å): 10.4655 9.0351 14.4923
angles (deg): 90.00 110.56 90.00
Space group P2_1/c (No. 14)
Symmetry-distinct sites (fractional):
Sn: 0.1474 0.1223 0.4651 (multiplicity 4)
Hg: 0.3184 0.0705 0.1840 (multiplicity 4)
Hg: 0.4532 0.1725 0.8846 (multiplicity 4)
S: 0.2529 0.1848 0.3083 (multiplicity 4)
S: 0.3464 0.5311 0.5423 (multiplicity 4)
Br: 0.0559 0.6555 0.9229 (multiplicity 4)
Br: 0.3788 0.0545 0.6114 (multiplicity 4)



[6]
For GeAsAu, the PBE geometry in the Materials Project gives the calculated X-ray powder pattern in this record (Cu Kα (λ = 1.5418 Å)).
Kinematic intensities with the Lorentz-polarization factor, no thermal factor.

The 10 most intense peaks (10 to 80 degrees two-theta), sorted by position:
(1 1 -1), 2θ 20.53, rel. 50; (2 0 0), 2θ 26.71, rel. 100; (0 2 0), 2θ 28.09, rel. 34; (1 1 1), 2θ 28.73, rel. 61; (2 0 -2), 2θ 30.27, rel. 45; (2 2 0), 2θ 39.15, rel. 30; (1 3 -1), 2θ 45.50, rel. 44; (1 1 -3), 2θ 45.69, rel. 45; (4 0 -2), 2θ 48.45, rel. 48; (3 3 -1), 2θ 56.83, rel. 26

a b c (Å): 7.5745 6.3542 6.4159
angles (deg): 90.00 118.21 90.00
Space group C2 (No. 5)
Symmetry-distinct sites (fractional):
Ge: 0.1866 0.0000 0.0801 (multiplicity 4)
As: 0.1861 0.7575 0.5861 (multiplicity 4)
Au: 0.2484 0.6313 0.2471 (multiplicity 4)